Record 1
This entry pairs a crystal structure of TbNdY2Sc4 with its calculated powder X-ray diffraction pattern. Radiation: Cu Kα (λ = 1.5418 Å). Structure: a crystal structure in Alexandria, relaxed with GGA-PBE.
Lines closer than 0.1° are merged.

Cell and atoms:
Lattice parameters (Å, degrees): 9.119 9.119 9.119 137.82 103.09 91.86
Fractional coordinates of all 16 atoms:
Tb (0.500, 0.000, 0.000)
Tb (0.500, 0.500, 0.500)
Nd (0.000, 0.000, 0.000)
Nd (0.500, 0.000, 0.500)
Y (0.000, 0.000, 0.500)
Y (0.000, 0.500, 0.000)
Y (0.000, 0.500, 0.500)
Y (0.500, 0.500, 0.000)
Sc (0.250, 0.249, 0.499)
Sc (0.250, 0.751, 0.001)
Sc (0.251, 0.249, 0.002)
Sc (0.253, 0.751, 0.502)
Sc (0.747, 0.249, 0.498)
Sc (0.749, 0.751, 0.998)
Sc (0.750, 0.249, 0.999)
Sc (0.750, 0.751, 0.501)

Peak list (8 most intense, 15 to 90 degrees two-theta, low angle first)
d/Å, I (rel.)
4.228, 37
3.171, 45
2.914, 15
2.839, 100
2.115, 84
1.639, 18
1.456, 25
1.384, 21

=====

Record 2
This entry pairs a crystal structure of Nd5ScTe4 with its calculated powder X-ray diffraction pattern. Radiation: Cu Kα (λ = 1.5418 Å). Structure: a crystal structure in Alexandria, relaxed with GGA-PBE.
Lines closer than 0.1° are merged.

Cell and atoms:
Lattice parameters (Å, degrees): 9.550 9.550 8.612 101.32 101.32 25.54
Fractional coordinates of all 10 atoms:
Nd (0.000, 0.000, 0.000)
Nd (0.319, 0.319, 0.140)
Nd (0.330, 0.330, 0.696)
Nd (0.670, 0.670, 0.304)
Nd (0.681, 0.681, 0.860)
Sc (0.000, 0.000, 0.500)
Te (0.160, 0.160, 0.572)
Te (0.495, 0.495, 0.264)
Te (0.505, 0.505, 0.736)
Te (0.840, 0.840, 0.428)

Peak list (8 most intense, 15 to 90 degrees two-theta, low angle first)
d/Å, I (rel.)
3.041, 50
3.014, 100
2.164, 35
2.152, 16
2.118, 35
2.110, 20
1.733, 27
1.338, 15

=====

Record 3
This entry pairs a crystal structure of NdSc3Te2 with its calculated powder X-ray diffraction pattern. Radiation: Cu Kα (λ = 1.5418 Å). Structure: a crystal structure in Alexandria, relaxed with GGA-PBE.
Lines closer than 0.1° are merged.

Cell and atoms:
Lattice parameters (Å, degrees): 7.910 7.910 11.600 115.79 115.79 29.86
Fractional coordinates of all 12 atoms:
Nd (0.138, 0.138, 0.058)
Nd (0.862, 0.862, 0.942)
Sc (0.043, 0.043, 0.360)
Sc (0.282, 0.282, 0.610)
Sc (0.385, 0.385, 0.406)
Sc (0.615, 0.615, 0.594)
Sc (0.718, 0.718, 0.390)
Sc (0.957, 0.957, 0.640)
Te (0.186, 0.186, 0.803)
Te (0.477, 0.477, 0.840)
Te (0.523, 0.523, 0.160)
Te (0.814, 0.814, 0.197)

Peak list (8 most intense, 15 to 90 degrees two-theta, low angle first)
d/Å, I (rel.)
3.273, 40
3.183, 37
3.036, 73
2.770, 73
2.721, 75
2.702, 100
2.299, 54
2.038, 53

=====

Record 4
This entry pairs a crystal structure of NdTh2Sc7 with its calculated powder X-ray diffraction pattern. Radiation: Cu Kα (λ = 1.5418 Å). Structure: a crystal structure in Alexandria, relaxed with GGA-PBE.
Lines closer than 0.1° are merged.

Cell and atoms:
Lattice parameters (Å, degrees): 11.593 11.593 3.387 90.00 90.00 140.51
Fractional coordinates of all 10 atoms:
Nd (0.000, 0.000, 0.000)
Th (0.252, 0.748, 0.500)
Th (0.748, 0.252, 0.500)
Sc (0.066, 0.308, 0.500)
Sc (0.308, 0.066, 0.500)
Sc (0.379, 0.621, 0.000)
Sc (0.500, 0.500, 0.500)
Sc (0.621, 0.379, 0.000)
Sc (0.692, 0.934, 0.500)
Sc (0.934, 0.692, 0.500)

Peak list (8 most intense, 15 to 90 degrees two-theta, low angle first)
d/Å, I (rel.)
5.456, 49
3.917, 67
3.235, 67
3.182, 100
2.728, 59
2.494, 72
2.319, 59
2.095, 37

=====

Record 5
This entry pairs a crystal structure of NdTh2Sc2 with its calculated powder X-ray diffraction pattern. Radiation: Cu Kα (λ = 1.5418 Å). Structure: a crystal structure in Alexandria, relaxed with GGA-PBE.
Lines closer than 0.1° are merged.

Cell and atoms:
Lattice parameters (Å, degrees): 14.304 6.883 6.081 90.00 98.58 90.00
Fractional coordinates of all 20 atoms:
Nd (0.202, 0.120, 0.147)
Nd (0.202, 0.380, 0.647)
Nd (0.798, 0.620, 0.353)
Nd (0.798, 0.880, 0.853)
Th (0.004, 0.624, 0.758)
Th (0.004, 0.876, 0.258)
Th (0.405, 0.125, 0.558)
Th (0.405, 0.375, 0.058)
Th (0.595, 0.625, 0.942)
Th (0.595, 0.875, 0.442)
Th (0.996, 0.124, 0.742)
Th (0.996, 0.376, 0.242)
Sc (0.202, 0.629, 0.154)
Sc (0.202, 0.871, 0.654)
Sc (0.402, 0.630, 0.541)
Sc (0.402, 0.870, 0.041)
Sc (0.598, 0.130, 0.959)
Sc (0.598, 0.370, 0.459)
Sc (0.798, 0.129, 0.346)
Sc (0.798, 0.371, 0.846)

Peak list (8 most intense, 15 to 90 degrees two-theta, low angle first)
d/Å, I (rel.)
2.855, 34
2.828, 100
2.480, 23
2.443, 44
1.747, 16
1.734, 24
1.474, 10
1.414, 12

=====

Record 6
This entry pairs a crystal structure of NdThSc5 with its calculated powder X-ray diffraction pattern. Radiation: Cu Kα (λ = 1.5418 Å). Structure: a crystal structure in Alexandria, relaxed with GGA-PBE.
Lines closer than 0.1° are merged.

Cell and atoms:
Lattice parameters (Å, degrees): 6.187 6.187 10.745 103.27 103.27 96.49
Fractional coordinates of all 14 atoms:
Nd (0.000, 0.500, 0.000)
Nd (0.500, 0.000, 0.500)
Th (0.240, 0.760, 0.750)
Th (0.760, 0.240, 0.250)
Sc (0.049, 0.200, 0.663)
Sc (0.200, 0.049, 0.163)
Sc (0.230, 0.427, 0.464)
Sc (0.416, 0.584, 0.250)
Sc (0.427, 0.230, 0.964)
Sc (0.573, 0.770, 0.036)
Sc (0.584, 0.416, 0.750)
Sc (0.770, 0.573, 0.536)
Sc (0.800, 0.951, 0.837)
Sc (0.951, 0.800, 0.337)

Peak list (8 most intense, 15 to 90 degrees two-theta, low angle first)
d/Å, I (rel.)
4.610, 74
3.758, 29
3.326, 45
2.914, 38
2.662, 100
2.622, 29
2.330, 19
2.213, 15

=====

Question: What is the formula in the fifth record?
Answer: NdTh2Sc2

=====

Question: What is the formula in the second record?
Answer: Nd5ScTe4